Structure and computed X-ray powder pattern of ScSi4Ni6 (a GGA-PBE-relaxed structure; Cu Kα, 1.54184 Å).

Most intense lines, 5 to 70 degrees two-theta, by intensity:
(hkl), d [Å], 2theta, intensity
2 0 1, 2.239, 40.3, 100
2 1 1, 1.853, 49.2, 47
2 1 0, 2.161, 41.8, 24
0 0 2, 1.801, 50.7, 24
3 0 0, 1.906, 47.7, 22
2 2 0, 1.650, 55.7, 18
1 0 0, 5.717, 15.5, 18
1 0 1, 3.048, 29.3, 18
1 1 1, 2.434, 36.9, 11
2 1 2, 1.384, 67.7, 10

Atomic structure:
```
data_ScSi4Ni6
_chemical_formula_sum 'Sc1 Si4 Ni6'
_symmetry_space_group_name_H-M 'P -6 m 2'
_symmetry_Int_Tables_number 187
_symmetry_space_group_name_Hall 'P -6 2'
_cell_length_a 6.6019
_cell_length_b 6.6019
_cell_length_c 3.6024
_cell_angle_alpha 90.00
_cell_angle_beta 90.00
_cell_angle_gamma 120.00
loop_
_atom_site_label
_atom_site_type_symbol
_atom_site_fract_x
_atom_site_fract_y
_atom_site_fract_z
Sc1 Sc 0.0000 0.0000 0.0000
Si1 Si 0.1917 0.3834 0.5000
Si2 Si 0.6667 0.3333 0.0000
Ni1 Ni 0.0704 0.5352 0.0000
Ni2 Ni 0.4050 0.2025 0.5000
```

Structure and computed X-ray powder pattern of Sc3Si3Ni2 (a GGA-PBE-relaxed structure; Cu Kα, 1.54184 Å).

Most intense lines, 5 to 70 degrees two-theta, by intensity:
(hkl), d [Å], 2theta, intensity
3 0 1, 2.229, 40.5, 100
1 3 2, 2.154, 41.9, 99
2 4 0, 2.465, 36.4, 87
1 1 2, 2.426, 37.1, 69
3 3 1, 1.989, 45.6, 39
1 4 2, 1.978, 45.9, 37
0 6 0, 2.206, 40.9, 35
1 0 1, 4.272, 20.8, 31
3 1 1, 2.197, 41.1, 29
4 0 1, 1.742, 52.5, 28

Atomic structure:
```
data_Sc3Si3Ni2
_chemical_formula_sum 'Sc12 Si12 Ni8'
_symmetry_space_group_name_H-M 'P n m a'
_symmetry_Int_Tables_number 62
_symmetry_space_group_name_Hall '-P 2ac 2n'
_cell_length_a 7.388
_cell_length_b 13.236
_cell_length_c 5.236
_cell_angle_alpha 90.00
_cell_angle_beta 90.00
_cell_angle_gamma 90.00
loop_
_atom_site_label
_atom_site_type_symbol
_atom_site_fract_x
_atom_site_fract_y
_atom_site_fract_z
Sc1 Sc 0.039 0.112 0.126
Sc2 Sc 0.185 0.250 0.620
Si1 Si 0.170 0.750 0.605
Si2 Si 0.197 0.040 0.614
Ni1 Ni 0.091 0.601 0.382
```